Record 1
For CaGaH5, the PBE geometry in the Materials Project gives the calculated powder diffractogram in this record (Cu Kα X-rays).

Atomic structure:
Cell lengths 6.659, 4.395, 6.773 Å; angles 90.00, 102.84, 90.00 degrees
Space group P2_1 (No. 4)
Inequivalent atoms, fractional coordinates:
Ca: 0.170 0.000 0.168
Ga: 0.286 0.242 0.702
H: 0.083 0.448 0.644
H: 0.120 0.499 0.083
H: 0.263 0.986 0.861
H: 0.320 0.078 0.501
H: 0.482 0.450 0.789

Top 6 peaks for 2θ = 10–90°, sorted by position:
- 24.33°, intensity 90
- 24.46°, intensity 100
- 27.01°, intensity 37
- 27.47°, intensity 74
- 34.33°, intensity 33
- 44.71°, intensity 33

Record 2
For Mg6CoSi, the PBE geometry in the Materials Project gives the calculated powder diffractogram in this record (Cu Kα X-rays).

Atomic structure:
Cell lengths 4.590, 6.200, 10.498 Å; angles 90.00, 90.00, 90.00 degrees
Space group Amm2 (No. 38)
Inequivalent atoms, fractional coordinates:
Mg: 0.000 0.000 0.000
Mg: 0.000 0.233 0.742
Mg: 0.500 0.000 0.172
Mg: 0.500 0.238 0.429
Co: 0.500 0.000 0.645
Si: 0.000 0.000 0.520

Top 6 peaks for 2θ = 10–90°, sorted by position:
- 16.61°, intensity 24
- 33.57°, intensity 31
- 39.04°, intensity 100
- 39.26°, intensity 36
- 39.56°, intensity 49
- 52.59°, intensity 16

Record 3
For CeAl8Fe2, the PBE geometry in the Materials Project gives the calculated powder diffractogram in this record (Cu Kα X-rays).

Atomic structure:
Cell lengths 12.434, 14.387, 4.007 Å; angles 90.00, 90.00, 90.00 degrees
Space group Pbam (No. 55)
Inequivalent atoms, fractional coordinates:
Ce: 0.159 0.181 0.000
Al: 0.000 0.000 0.000
Al: 0.000 0.500 0.500
Al: 0.025 0.868 0.500
Al: 0.047 0.320 0.500
Al: 0.095 0.747 0.000
Al: 0.160 0.621 0.500
Al: 0.161 0.454 0.000
Al: 0.168 0.008 0.500
Al: 0.235 0.826 0.500
Fe: 0.035 0.593 0.000
Fe: 0.150 0.902 0.000

Top 6 peaks for 2θ = 10–90°, sorted by position:
- 22.19°, intensity 48
- 22.32°, intensity 44
- 34.27°, intensity 85
- 36.38°, intensity 100
- 37.13°, intensity 41
- 45.26°, intensity 51

Record 4
For NdB2Ir2, the PBE geometry in the Materials Project gives the calculated powder diffractogram in this record (Cu Kα X-rays).

Atomic structure:
Cell lengths 6.004, 9.435, 10.740 Å; angles 90.00, 90.00, 90.00 degrees
Space group Fddd (No. 70, origin choice 2)
Inequivalent atoms, fractional coordinates:
Nd: 0.125 0.125 0.125
B: 0.125 0.303 0.625
Ir: 0.125 0.125 0.496

Top 6 peaks for 2θ = 10–90°, sorted by position:
- 19.37°, intensity 25
- 30.58°, intensity 100
- 35.44°, intensity 98
- 38.15°, intensity 41
- 41.05°, intensity 50
- 45.89°, intensity 24

Record 5
For RbPPbS4, the PBE geometry in the Materials Project gives the calculated powder diffractogram in this record (Cu Kα X-rays).

Atomic structure:
Cell lengths 17.659, 6.801, 6.513 Å; angles 90.00, 90.00, 90.00 degrees
Space group Pnma (No. 62)
Inequivalent atoms, fractional coordinates:
Rb: 0.206 0.250 0.030
P: 0.097 0.750 0.782
Pb: 0.018 0.750 0.288
S: 0.017 0.250 0.154
S: 0.121 0.507 0.607
S: 0.160 0.750 0.045

Top 6 peaks for 2θ = 10–90°, sorted by position:
- 10.02°, intensity 100
- 21.40°, intensity 79
- 26.21°, intensity 49
- 29.23°, intensity 55
- 33.40°, intensity 48
- 39.66°, intensity 49

Record 6
For KHfMg6O7, the PBE geometry in the Materials Project gives the calculated powder diffractogram in this record (Cu Kα X-rays).

Atomic structure:
Cell lengths 4.178, 4.178, 11.802 Å; angles 90.00, 90.00, 90.00 degrees
Space group P4mm (No. 99)
Inequivalent atoms, fractional coordinates:
K: 0.000 0.000 0.000
Hf: 0.500 0.500 0.836
Mg: 0.000 0.000 0.452
Mg: 0.000 0.500 0.266
Mg: 0.000 0.500 0.643
Mg: 0.500 0.500 0.455
O: 0.000 0.000 0.264
O: 0.000 0.000 0.624
O: 0.000 0.500 0.450
O: 0.000 0.500 0.829
O: 0.500 0.500 0.650

Top 6 peaks for 2θ = 10–90°, sorted by position:
- 15.01°, intensity 56
- 22.58°, intensity 100
- 26.13°, intensity 68
- 31.22°, intensity 96
- 38.11°, intensity 49
- 43.31°, intensity 63

Record 7
For KSbO3, the PBE geometry in the Materials Project gives the calculated powder diffractogram in this record (Cu Kα X-rays).

Atomic structure:
Cell lengths 10.629, 10.629, 10.629 Å; angles 90.00, 90.00, 90.00 degrees
Space group Fd-3m (No. 227, origin choice 2)
Inequivalent atoms, fractional coordinates:
K: 0.000 0.000 0.000
Sb: 0.000 0.000 0.500
O: 0.071 0.375 0.875

Top 6 peaks for 2θ = 10–90°, sorted by position:
- 14.43°, intensity 55
- 27.84°, intensity 22
- 29.10°, intensity 100
- 33.73°, intensity 30
- 48.45°, intensity 44
- 57.52°, intensity 41

Record 8
For Ce2Nd2O7, the PBE geometry in the Materials Project gives the calculated powder diffractogram in this record (Cu Kα X-rays).

Atomic structure:
Cell lengths 11.104, 11.104, 11.104 Å; angles 90.00, 90.00, 90.00 degrees
Space group Fd-3m (No. 227, origin choice 2)
Inequivalent atoms, fractional coordinates:
Ce: 0.000 0.000 0.000
Nd: 0.000 0.000 0.500
O: 0.098 0.375 0.375
O: 0.125 0.125 0.625

Top 6 peaks for 2θ = 10–90°, sorted by position:
- 27.83°, intensity 100
- 32.25°, intensity 33
- 46.25°, intensity 51
- 54.84°, intensity 45
- 74.49°, intensity 18
- 85.73°, intensity 15

Record 9
For AgPdO2, the PBE geometry in the Materials Project gives the calculated powder diffractogram in this record (Cu Kα X-rays).

Atomic structure:
Cell lengths 3.054, 3.407, 5.496 Å; angles 90.00, 90.00, 90.00 degrees
Space group Pmmm (No. 47)
Inequivalent atoms, fractional coordinates:
Ag: 0.000 0.000 0.000
Pd: 0.500 0.500 0.500
O: 0.000 0.500 0.255

Top 6 peaks for 2θ = 10–90°, sorted by position:
- 30.88°, intensity 100
- 32.58°, intensity 31
- 33.57°, intensity 78
- 39.63°, intensity 36
- 52.21°, intensity 55
- 64.93°, intensity 22

Copy entry 5 word for word.
For RbPPbS4, the PBE geometry in the Materials Project gives the calculated powder diffractogram in this record (Cu Kα X-rays).

Atomic structure:
Cell lengths 17.659, 6.801, 6.513 Å; angles 90.00, 90.00, 90.00 degrees
Space group Pnma (No. 62)
Inequivalent atoms, fractional coordinates:
Rb: 0.206 0.250 0.030
P: 0.097 0.750 0.782
Pb: 0.018 0.750 0.288
S: 0.017 0.250 0.154
S: 0.121 0.507 0.607
S: 0.160 0.750 0.045

Top 6 peaks for 2θ = 10–90°, sorted by position:
- 10.02°, intensity 100
- 21.40°, intensity 79
- 26.21°, intensity 49
- 29.23°, intensity 55
- 33.40°, intensity 48
- 39.66°, intensity 49